No. 1
Diffraction record for LuRh3. The X-ray diffraction stick pattern is calculated, not measured: it uses a crystal structure in the Materials Project, relaxed with PBE and λ = 1.5418 Å (Cu Kα).
Peak positions follow from Bragg's law for the DFT cell and can differ from measured ones.

Peak list (8 most intense, 2θ = 10–80°, sorted by position)
2θ = 22.16°, intensity 6, (1 0 0)
2θ = 31.54°, intensity 5, (1 1 0)
2θ = 38.89°, intensity 100, (1 1 1)
2θ = 45.21°, intensity 49, (2 0 0)
2θ = 50.90°, intensity 3, (2 1 0)
2θ = 56.16°, intensity 2, (2 1 1)
2θ = 65.85°, intensity 31, (2 2 0)
2θ = 79.19°, intensity 37, (3 1 1)

```
data_LuRh3
_cell_length_a 4.0115
_cell_length_b 4.0115
_cell_length_c 4.0115
_cell_angle_alpha 90.00
_cell_angle_beta 90.00
_cell_angle_gamma 90.00
_symmetry_space_group_name_H-M 'P m -3 m'
_symmetry_Int_Tables_number 221
_symmetry_space_group_name_Hall '-P 4 2 3'
loop_
_atom_site_label
_atom_site_type_symbol
_atom_site_fract_x
_atom_site_fract_y
_atom_site_fract_z
Lu1 Lu 0.0000 0.0000 0.0000
Rh1 Rh 0.0000 0.5000 0.5000
```

No. 2
Diffraction record for LuSbRh2. The X-ray diffraction stick pattern is calculated, not measured: it uses a crystal structure in the Materials Project, relaxed with PBE and λ = 1.5418 Å (Cu Kα).
Peak positions follow from Bragg's law for the DFT cell and can differ from measured ones.

Peak list (8 most intense, 2θ = 10–80°, sorted by position)
2θ = 23.37°, intensity 2, (1 1 1)
2θ = 27.05°, intensity 3, (2 0 0)
2θ = 38.63°, intensity 100, (2 2 0)
2θ = 45.64°, intensity 1, (3 1 1)
2θ = 47.79°, intensity 1, (2 2 2)
2θ = 55.78°, intensity 17, (4 0 0)
2θ = 63.06°, intensity 1, (4 2 0)
2θ = 69.90°, intensity 34, (4 2 2)

```
data_LuSbRh2
_cell_length_a 6.5926
_cell_length_b 6.5926
_cell_length_c 6.5926
_cell_angle_alpha 90.00
_cell_angle_beta 90.00
_cell_angle_gamma 90.00
_symmetry_space_group_name_H-M 'F m -3 m'
_symmetry_Int_Tables_number 225
_symmetry_space_group_name_Hall '-F 4 2 3'
loop_
_atom_site_label
_atom_site_type_symbol
_atom_site_fract_x
_atom_site_fract_y
_atom_site_fract_z
Lu1 Lu 0.0000 0.0000 0.0000
Sb1 Sb 0.0000 0.0000 0.5000
Rh1 Rh 0.2500 0.2500 0.2500
```

No. 3
Diffraction record for LuScRh2. The X-ray diffraction stick pattern is calculated, not measured: it uses a crystal structure in the Materials Project, relaxed with PBE and λ = 1.5418 Å (Cu Kα).
Peak positions follow from Bragg's law for the DFT cell and can differ from measured ones.

Peak list (7 most intense, 2θ = 10–80°, sorted by position)
2θ = 23.36°, intensity 21, (1 1 1)
2θ = 38.61°, intensity 100, (2 2 0)
2θ = 45.61°, intensity 12, (3 1 1)
2θ = 55.74°, intensity 17, (4 0 0)
2θ = 61.25°, intensity 5, (3 3 1)
2θ = 69.86°, intensity 34, (4 2 2)
2θ = 74.79°, intensity 4, (5 1 1)

```
data_LuScRh2
_cell_length_a 6.5964
_cell_length_b 6.5964
_cell_length_c 6.5964
_cell_angle_alpha 90.00
_cell_angle_beta 90.00
_cell_angle_gamma 90.00
_symmetry_space_group_name_H-M 'F m -3 m'
_symmetry_Int_Tables_number 225
_symmetry_space_group_name_Hall '-F 4 2 3'
loop_
_atom_site_label
_atom_site_type_symbol
_atom_site_fract_x
_atom_site_fract_y
_atom_site_fract_z
Lu1 Lu 0.0000 0.0000 0.0000
Sc1 Sc 0.0000 0.0000 0.5000
Rh1 Rh 0.2500 0.2500 0.2500
```

No. 4
Diffraction record for LuSiRh. The X-ray diffraction stick pattern is calculated, not measured: it uses a crystal structure in the Materials Project, relaxed with PBE and λ = 1.5418 Å (Cu Kα).
Peak positions follow from Bragg's law for the DFT cell and can differ from measured ones.

Peak list (8 most intense, 2θ = 10–80°, sorted by position)
2θ = 24.46°, intensity 36, (0 1 1)
2θ = 35.04°, intensity 84, (1 1 2)
2θ = 36.05°, intensity 35, (2 0 2)
2θ = 36.28°, intensity 100, (2 1 1)
2θ = 38.97°, intensity 32, (1 0 3)
2θ = 42.64°, intensity 35, (0 1 3)
2θ = 43.24°, intensity 39, (0 2 0)
2θ = 69.61°, intensity 33, (3 1 4)

```
data_LuSiRh
_cell_length_a 6.7554
_cell_length_b 4.1843
_cell_length_c 7.3783
_cell_angle_alpha 90.00
_cell_angle_beta 90.00
_cell_angle_gamma 90.00
_symmetry_space_group_name_H-M 'P n m a'
_symmetry_Int_Tables_number 62
_symmetry_space_group_name_Hall '-P 2ac 2n'
loop_
_atom_site_label
_atom_site_type_symbol
_atom_site_fract_x
_atom_site_fract_y
_atom_site_fract_z
Lu1 Lu 0.0035 0.2500 0.1911
Si1 Si 0.2088 0.7500 0.3930
Rh1 Rh 0.1555 0.2500 0.5677
```

No. 5
Diffraction record for TbLuRh2. The X-ray diffraction stick pattern is calculated, not measured: it uses a crystal structure in the Materials Project, relaxed with PBE and λ = 1.5418 Å (Cu Kα).
Peak positions follow from Bragg's law for the DFT cell and can differ from measured ones.

Peak list (7 most intense, 2θ = 10–80°, sorted by position)
2θ = 26.18°, intensity 6, (2 0 0)
2θ = 37.36°, intensity 100, (2 2 0)
2θ = 46.19°, intensity 2, (2 2 2)
2θ = 53.87°, intensity 17, (4 0 0)
2θ = 60.85°, intensity 3, (4 2 0)
2θ = 67.39°, intensity 35, (4 2 2)
2θ = 79.67°, intensity 11, (4 4 0)

```
data_TbLuRh2
_cell_length_a 6.8076
_cell_length_b 6.8076
_cell_length_c 6.8076
_cell_angle_alpha 90.00
_cell_angle_beta 90.00
_cell_angle_gamma 90.00
_symmetry_space_group_name_H-M 'F m -3 m'
_symmetry_Int_Tables_number 225
_symmetry_space_group_name_Hall '-F 4 2 3'
loop_
_atom_site_label
_atom_site_type_symbol
_atom_site_fract_x
_atom_site_fract_y
_atom_site_fract_z
Tb1 Tb 0.0000 0.0000 0.0000
Lu1 Lu 0.0000 0.0000 0.5000
Rh1 Rh 0.2500 0.2500 0.2500
```

No. 6
Diffraction record for TmLuRh2. The X-ray diffraction stick pattern is calculated, not measured: it uses a crystal structure in the Materials Project, relaxed with PBE and λ = 1.5418 Å (Cu Kα).
Peak positions follow from Bragg's law for the DFT cell and can differ from measured ones.

Peak list (6 most intense, 2θ = 10–80°, sorted by position)
2θ = 26.40°, intensity 7, (2 0 0)
2θ = 37.68°, intensity 100, (2 2 0)
2θ = 46.59°, intensity 2, (2 2 2)
2θ = 54.34°, intensity 17, (4 0 0)
2θ = 61.40°, intensity 3, (4 2 0)
2θ = 68.01°, intensity 35, (4 2 2)

```
data_TmLuRh2
_cell_length_a 6.7527
_cell_length_b 6.7527
_cell_length_c 6.7527
_cell_angle_alpha 90.00
_cell_angle_beta 90.00
_cell_angle_gamma 90.00
_symmetry_space_group_name_H-M 'F m -3 m'
_symmetry_Int_Tables_number 225
_symmetry_space_group_name_Hall '-F 4 2 3'
loop_
_atom_site_label
_atom_site_type_symbol
_atom_site_fract_x
_atom_site_fract_y
_atom_site_fract_z
Tm1 Tm 0.0000 0.0000 0.0000
Lu1 Lu 0.0000 0.0000 0.5000
Rh1 Rh 0.2500 0.2500 0.2500
```

No. 7
Diffraction record for LuZnRh2. The X-ray diffraction stick pattern is calculated, not measured: it uses a crystal structure in the Materials Project, relaxed with PBE and λ = 1.5418 Å (Cu Kα).
Peak positions follow from Bragg's law for the DFT cell and can differ from measured ones.

Peak list (8 most intense, 2θ = 10–80°, sorted by position)
2θ = 24.13°, intensity 12, (1 1 1)
2θ = 27.93°, intensity 1, (2 0 0)
2θ = 39.91°, intensity 100, (2 2 0)
2θ = 47.18°, intensity 6, (3 1 1)
2θ = 57.72°, intensity 17, (4 0 0)
2θ = 63.47°, intensity 3, (3 3 1)
2θ = 72.48°, intensity 34, (4 2 2)
2θ = 77.66°, intensity 2, (5 1 1)

```
data_LuZnRh2
_cell_length_a 6.3888
_cell_length_b 6.3888
_cell_length_c 6.3888
_cell_angle_alpha 90.00
_cell_angle_beta 90.00
_cell_angle_gamma 90.00
_symmetry_space_group_name_H-M 'F m -3 m'
_symmetry_Int_Tables_number 225
_symmetry_space_group_name_Hall '-F 4 2 3'
loop_
_atom_site_label
_atom_site_type_symbol
_atom_site_fract_x
_atom_site_fract_y
_atom_site_fract_z
Lu1 Lu 0.0000 0.0000 0.0000
Zn1 Zn 0.0000 0.0000 0.5000
Rh1 Rh 0.2500 0.2500 0.2500
```

No. 8
Diffraction record for LuRu3. The X-ray diffraction stick pattern is calculated, not measured: it uses a crystal structure in the Materials Project, relaxed with PBE and λ = 1.5418 Å (Cu Kα).
Peak positions follow from Bragg's law for the DFT cell and can differ from measured ones.

Peak list (8 most intense, 2θ = 10–80°, sorted by position)
2θ = 22.16°, intensity 6, (1 0 0)
2θ = 31.54°, intensity 5, (1 1 0)
2θ = 38.88°, intensity 100, (1 1 1)
2θ = 45.20°, intensity 49, (2 0 0)
2θ = 50.89°, intensity 3, (2 1 0)
2θ = 56.16°, intensity 2, (2 1 1)
2θ = 65.85°, intensity 31, (2 2 0)
2θ = 79.19°, intensity 37, (3 1 1)

```
data_LuRu3
_cell_length_a 4.0119
_cell_length_b 4.0119
_cell_length_c 4.0119
_cell_angle_alpha 90.00
_cell_angle_beta 90.00
_cell_angle_gamma 90.00
_symmetry_space_group_name_H-M 'P m -3 m'
_symmetry_Int_Tables_number 221
_symmetry_space_group_name_Hall '-P 4 2 3'
loop_
_atom_site_label
_atom_site_type_symbol
_atom_site_fract_x
_atom_site_fract_y
_atom_site_fract_z
Lu1 Lu 0.0000 0.0000 0.0000
Ru1 Ru 0.0000 0.5000 0.5000
```

No. 9
Diffraction record for LuRu3. The X-ray diffraction stick pattern is calculated, not measured: it uses a crystal structure in the Materials Project, relaxed with PBE and λ = 1.5418 Å (Cu Kα).
Peak positions follow from Bragg's law for the DFT cell and can differ from measured ones.

Peak list (8 most intense, 2θ = 10–80°, sorted by position)
2θ = 21.80°, intensity 2, (0 0 2)
2θ = 24.96°, intensity 6, (1 0 1)
2θ = 38.98°, intensity 100, (1 1 2)
2θ = 44.44°, intensity 17, (0 0 4)
2θ = 45.75°, intensity 32, (2 0 0)
2θ = 65.68°, intensity 21, (2 0 4)
2θ = 66.69°, intensity 10, (2 2 0)
2θ = 78.15°, intensity 13, (1 1 6)

```
data_LuRu3
_cell_length_a 3.9668
_cell_length_b 3.9668
_cell_length_c 8.1542
_cell_angle_alpha 90.00
_cell_angle_beta 90.00
_cell_angle_gamma 90.00
_symmetry_space_group_name_H-M 'I 4/m m m'
_symmetry_Int_Tables_number 139
_symmetry_space_group_name_Hall '-I 4 2'
loop_
_atom_site_label
_atom_site_type_symbol
_atom_site_fract_x
_atom_site_fract_y
_atom_site_fract_z
Lu1 Lu 0.0000 0.0000 0.0000
Ru1 Ru 0.0000 0.0000 0.5000
Ru2 Ru 0.0000 0.5000 0.2500
```

No. 10
Diffraction record for LuRu. The X-ray diffraction stick pattern is calculated, not measured: it uses a crystal structure in the Materials Project, relaxed with PBE and λ = 1.5418 Å (Cu Kα).
Peak positions follow from Bragg's law for the DFT cell and can differ from measured ones.

Peak list (6 most intense, 2θ = 10–80°, sorted by position)
2θ = 26.75°, intensity 8, (1 0 0)
2θ = 38.19°, intensity 100, (1 1 0)
2θ = 47.24°, intensity 2, (1 1 1)
2θ = 55.12°, intensity 17, (2 0 0)
2θ = 62.30°, intensity 3, (2 1 0)
2θ = 69.03°, intensity 35, (2 1 1)

```
data_LuRu
_cell_length_a 3.3327
_cell_length_b 3.3327
_cell_length_c 3.3327
_cell_angle_alpha 90.00
_cell_angle_beta 90.00
_cell_angle_gamma 90.00
_symmetry_space_group_name_H-M 'P m -3 m'
_symmetry_Int_Tables_number 221
_symmetry_space_group_name_Hall '-P 4 2 3'
loop_
_atom_site_label
_atom_site_type_symbol
_atom_site_fract_x
_atom_site_fract_y
_atom_site_fract_z
Lu1 Lu 0.0000 0.0000 0.0000
Ru1 Ru 0.5000 0.5000 0.5000
```

No. 11
Diffraction record for LuSbRu2. The X-ray diffraction stick pattern is calculated, not measured: it uses a crystal structure in the Materials Project, relaxed with PBE and λ = 1.5418 Å (Cu Kα).
Peak positions follow from Bragg's law for the DFT cell and can differ from measured ones.

Peak list (8 most intense, 2θ = 10–80°, sorted by position)
2θ = 23.69°, intensity 3, (1 1 1)
2θ = 27.42°, intensity 4, (2 0 0)
2θ = 39.17°, intensity 100, (2 2 0)
2θ = 46.28°, intensity 1, (3 1 1)
2θ = 48.47°, intensity 1, (2 2 2)
2θ = 56.59°, intensity 17, (4 0 0)
2θ = 64.00°, intensity 2, (4 2 0)
2θ = 70.97°, intensity 34, (4 2 2)

```
data_LuSbRu2
_cell_length_a 6.5057
_cell_length_b 6.5057
_cell_length_c 6.5057
_cell_angle_alpha 90.00
_cell_angle_beta 90.00
_cell_angle_gamma 90.00
_symmetry_space_group_name_H-M 'F m -3 m'
_symmetry_Int_Tables_number 225
_symmetry_space_group_name_Hall '-F 4 2 3'
loop_
_atom_site_label
_atom_site_type_symbol
_atom_site_fract_x
_atom_site_fract_y
_atom_site_fract_z
Lu1 Lu 0.0000 0.0000 0.0000
Sb1 Sb 0.0000 0.0000 0.5000
Ru1 Ru 0.2500 0.2500 0.2500
```

No. 12
Diffraction record for LuScRu2. The X-ray diffraction stick pattern is calculated, not measured: it uses a crystal structure in the Materials Project, relaxed with PBE and λ = 1.5418 Å (Cu Kα).
Peak positions follow from Bragg's law for the DFT cell and can differ from measured ones.

Peak list (7 most intense, 2θ = 10–80°, sorted by position)
2θ = 23.53°, intensity 22, (1 1 1)
2θ = 38.90°, intensity 100, (2 2 0)
2θ = 45.97°, intensity 12, (3 1 1)
2θ = 56.19°, intensity 17, (4 0 0)
2θ = 61.75°, intensity 5, (3 3 1)
2θ = 70.44°, intensity 34, (4 2 2)
2θ = 75.43°, intensity 4, (5 1 1)

```
data_LuScRu2
_cell_length_a 6.5482
_cell_length_b 6.5482
_cell_length_c 6.5482
_cell_angle_alpha 90.00
_cell_angle_beta 90.00
_cell_angle_gamma 90.00
_symmetry_space_group_name_H-M 'F m -3 m'
_symmetry_Int_Tables_number 225
_symmetry_space_group_name_Hall '-F 4 2 3'
loop_
_atom_site_label
_atom_site_type_symbol
_atom_site_fract_x
_atom_site_fract_y
_atom_site_fract_z
Lu1 Lu 0.0000 0.0000 0.0000
Sc1 Sc 0.0000 0.0000 0.5000
Ru1 Ru 0.2500 0.2500 0.2500
```